Diffraction record for TlNi2Se2. The powder diffraction line list is theoretical, not measured: it uses a cell relaxed with PBE and λ = 1.5418 Å (Cu Kα).

Crystal structure
Cell lengths 7.271, 7.271, 7.271 Å; angles 148.96, 148.96, 44.47 degrees
Element x y z (fractional)
Tl (0.000, 0.000, 0.000)
Ni (0.250, 0.750, 0.500)
Ni (0.750, 0.250, 0.500)
Se (0.351, 0.351, 0.000)
Se (0.649, 0.649, 0.000)

Largest 12 diffraction maxima, by angle, 2θ from 10° to 90°:
| Position (°2θ) | d [Å] | intensity |
| --- | --- | --- |
| 23.80 | 3.738 | 16 |
| 26.49 | 3.365 | 11 |
| 30.41 | 2.940 | 100 |
| 32.54 | 2.752 | 18 |
| 35.24 | 2.547 | 44 |
| 40.76 | 2.214 | 15 |
| 46.69 | 1.946 | 30 |
| 52.64 | 1.739 | 36 |
| 54.51 | 1.683 | 12 |
| 56.74 | 1.622 | 34 |
| 68.16 | 1.376 | 9 |
| 74.56 | 1.273 | 11 |